Diffraction record for La2Tb2Pm2Nd. The powder diffraction line list is simulated, not measured: it uses a structure optimized by DFT (GGA-PBE) and a wavelength of 1.5418 Å.
Lines closer than 0.1° are merged.

Most intense lines, 15° ≤ 2θ ≤ 90°, in order of rising 2θ:
29.90°, I 100; 34.62°, I 34; 34.73°, I 17; 49.85°, I 30; 59.09°, I 15; 59.23°, I 22

Atomic structure:
```
La2Tb2Pm2Nd
1.0
5.785 -2.583 0.000
5.785 2.583 0.000
-1.140 0.000 8.122
La Tb Pm Nd
2 2 2 1
Cartesian
1.161 0.000 3.467
9.270 0.000 4.655
4.641 0.000 2.310
5.790 0.000 5.812
2.313 0.000 6.976
8.118 0.000 1.146
0.000 0.000 0.000
```

=====

Diffraction record for Ti3NbRh4. The powder diffraction line list is simulated, not measured: it uses a structure optimized by DFT (GGA-PBE) and a wavelength of 1.5418 Å.
Lines closer than 0.1° are merged.

Most intense lines, 15° ≤ 2θ ≤ 90°, in order of rising 2θ:
38.25°, I 21; 39.60°, I 11; 40.23°, I 32; 41.71°, I 100; 56.72°, I 12; 74.12°, I 18

Atomic structure:
```
Ti3NbRh4
1.0
8.967 0.000 0.000
0.000 5.813 0.000
0.000 0.000 4.706
Ti Nb Rh
6 2 8
Cartesian
0.000 0.000 0.000
2.242 0.000 1.991
2.242 2.907 2.021
4.484 0.000 0.000
6.725 0.000 2.714
6.725 2.907 2.684
0.000 2.907 0.000
4.484 2.907 0.000
0.000 1.438 2.353
0.000 4.375 2.353
2.242 1.429 4.261
2.242 4.384 4.261
4.484 1.438 2.353
4.484 4.375 2.353
6.725 1.429 0.444
6.725 4.384 0.444
```

=====

Diffraction record for Mn2TcHg. The powder diffraction line list is simulated, not measured: it uses a structure optimized by DFT (GGA-PBE) and a wavelength of 1.5418 Å.
Lines closer than 0.1° are merged.

Most intense lines, 15° ≤ 2θ ≤ 90°, in order of rising 2θ:
30.18°, I 23; 39.21°, I 100; 40.59°, I 47; 46.01°, I 57; 66.11°, I 21; 80.55°, I 22

Atomic structure:
```
Mn2TcHg
1.0
1.413 0.816 8.884
-1.413 0.816 8.884
0.000 -1.632 8.884
Mn Tc Hg
2 1 1
Cartesian
0.000 0.000 0.000
0.000 0.000 6.889
0.000 0.000 19.639
0.000 0.000 13.332
```

=====

Diffraction record for AlPd6. The powder diffraction line list is simulated, not measured: it uses a structure optimized by DFT (GGA-PBE) and a wavelength of 1.5418 Å.
Lines closer than 0.1° are merged.

Most intense lines, 15° ≤ 2θ ≤ 90°, in order of rising 2θ:
40.82°, I 100; 59.10°, I 16; 74.29°, I 25; 74.42°, I 8; 88.37°, I 5; 88.53°, I 5

Atomic structure:
```
AlPd6
1.0
2.212 1.277 6.308
-2.212 1.277 6.308
0.000 -2.554 6.308
Al Pd
1 6
Cartesian
0.000 0.000 0.000
0.000 0.000 2.611
0.000 0.000 5.462
0.000 0.000 8.140
0.000 0.000 10.785
0.000 0.000 13.463
0.000 0.000 16.314
```

=====

Diffraction record for PaH4Ir. The powder diffraction line list is simulated, not measured: it uses a structure optimized by DFT (GGA-PBE) and a wavelength of 1.5418 Å.
Lines closer than 0.1° are merged.

Most intense lines, 15° ≤ 2θ ≤ 90°, in order of rising 2θ:
28.19°, I 100; 29.50°, I 50; 39.15°, I 21; 41.26°, I 73; 49.77°, I 21; 68.74°, I 17

Atomic structure:
```
PaH4Ir
1.0
6.055 0.000 0.000
0.000 4.361 0.000
0.000 0.000 4.602
Pa H Ir
2 8 2
Cartesian
0.000 0.879 0.000
3.028 3.481 2.301
0.000 0.706 2.253
0.000 3.088 0.807
1.143 2.303 3.190
1.884 2.058 0.889
3.028 1.272 3.108
3.028 3.655 4.554
4.171 2.058 0.889
4.912 2.303 3.190
0.000 3.412 2.566
3.028 0.949 0.265
```

=====

Diffraction record for LaBi12Ir4. The powder diffraction line list is simulated, not measured: it uses a structure optimized by DFT (GGA-PBE) and a wavelength of 1.5418 Å.
Lines closer than 0.1° are merged.

Most intense lines, 15° ≤ 2θ ≤ 90°, in order of rising 2θ:
28.53°, I 100; 33.91°, I 46; 40.79°, I 33; 44.89°, I 36; 46.83°, I 25; 54.05°, I 21

Atomic structure:
```
LaBi12Ir4
1.0
-4.946 4.946 4.946
4.946 -4.946 4.946
4.946 4.946 -4.946
La Bi Ir
1 12 4
Cartesian
0.000 0.000 0.000
3.305 1.568 0.000
6.588 1.568 0.000
4.946 -1.642 3.378
3.378 4.946 -1.642
1.568 0.000 3.305
0.000 3.305 1.568
4.946 1.642 3.378
3.378 4.946 1.642
1.568 0.000 6.588
0.000 6.588 1.568
-1.642 3.378 4.946
1.642 3.378 4.946
2.473 2.473 -2.473
2.473 -2.473 2.473
-2.473 2.473 2.473
2.473 2.473 2.473
```

=====

Diffraction record for Nd6AgRu2Br3. The powder diffraction line list is simulated, not measured: it uses a structure optimized by DFT (GGA-PBE) and a wavelength of 1.5418 Å.
Lines closer than 0.1° are merged.

Most intense lines, 15° ≤ 2θ ≤ 90°, in order of rising 2θ:
28.97°, I 100; 36.39°, I 12; 39.37°, I 21; 43.41°, I 34; 53.03°, I 16; 70.87°, I 12

Atomic structure:
```
Nd6AgRu2Br3
1.0
3.610 -6.255 0.000
3.610 6.255 0.000
-2.397 0.000 7.894
Nd Ag Ru Br
6 1 2 3
Cartesian
-0.090 2.256 6.313
1.003 0.000 1.575
-0.090 -2.256 6.313
4.912 2.256 1.581
3.820 0.000 6.319
4.912 -2.256 1.581
3.610 0.000 0.000
3.610 4.170 0.000
3.610 -4.170 0.000
-1.198 0.000 3.947
2.411 2.106 3.947
2.411 -2.106 3.947
```

=====

Diffraction record for Al2Zn13. The powder diffraction line list is simulated, not measured: it uses a structure optimized by DFT (GGA-PBE) and a wavelength of 1.5418 Å.
Lines closer than 0.1° are merged.

Most intense lines, 15° ≤ 2θ ≤ 90°, in order of rising 2θ:
24.78°, I 35; 29.25°, I 90; 38.60°, I 49; 43.76°, I 100; 46.48°, I 33; 46.59°, I 77

Atomic structure:
```
Al2Zn13
1.0
3.579 2.066 5.878
-3.579 2.066 5.878
0.000 -4.133 5.878
Al Zn
2 13
Cartesian
0.000 0.000 4.134
0.000 0.000 13.499
0.000 -2.637 4.058
-2.284 1.319 4.058
0.000 -1.517 6.443
-1.313 0.758 6.443
-2.284 -1.319 13.575
-1.313 -0.758 11.190
0.000 0.000 8.817
1.313 0.758 6.443
2.284 1.319 4.058
1.313 -0.758 11.190
0.000 1.517 11.190
2.284 -1.319 13.575
0.000 2.637 13.575
```